1.
The following is a simulated PXRD pattern of RbNbP2O8. It was derived from a structure optimized by DFT (GGA-PBE), using Cu Kα.
Lines closer than 0.1° are merged.

Largest 10 diffraction maxima, by intensity, 10 to 90 degrees two-theta:
23.03 deg, d = 3.861 Å, rel. 100
16.23 deg, d = 5.461 Å, rel. 76
22.24 deg, d = 3.997 Å, rel. 61
26.74 deg, d = 3.334 Å, rel. 57
26.57 deg, d = 3.354 Å, rel. 55
33.92 deg, d = 2.643 Å, rel. 49
45.38 deg, d = 1.998 Å, rel. 47
19.64 deg, d = 4.521 Å, rel. 42
19.75 deg, d = 4.496 Å, rel. 41
29.25 deg, d = 3.053 Å, rel. 38

Crystal structure
a b c (Å): 5.286 12.214 13.262
angles (deg): 90.00 112.98 90.00
Atoms (fractional coordinates):
Rb (0.201, 0.128, 0.457)
Rb (0.201, 0.372, 0.957)
Rb (0.799, 0.628, 0.043)
Rb (0.799, 0.872, 0.543)
Nb (0.418, 0.113, 0.174)
Nb (0.418, 0.387, 0.674)
Nb (0.582, 0.613, 0.326)
Nb (0.582, 0.887, 0.826)
P (0.094, 0.699, 0.837)
P (0.094, 0.801, 0.337)
P (0.119, 0.069, 0.871)
P (0.119, 0.431, 0.371)
P (0.881, 0.569, 0.629)
P (0.881, 0.931, 0.129)
P (0.906, 0.199, 0.663)
P (0.906, 0.301, 0.163)
O (0.065, 0.178, 0.795)
O (0.065, 0.322, 0.295)
O (0.092, 0.216, 0.139)
O (0.092, 0.284, 0.639)
O (0.136, 0.597, 0.902)
O (0.136, 0.903, 0.402)
O (0.165, 0.518, 0.653)
O (0.165, 0.982, 0.153)
O (0.266, 0.111, 0.985)
O (0.266, 0.389, 0.485)
O (0.285, 0.510, 0.330)
O (0.285, 0.990, 0.830)
O (0.365, 0.744, 0.348)
O (0.365, 0.756, 0.848)
O (0.461, 0.621, 0.183)
O (0.461, 0.879, 0.683)
O (0.539, 0.121, 0.317)
O (0.539, 0.379, 0.817)
O (0.635, 0.244, 0.152)
O (0.635, 0.256, 0.652)
O (0.715, 0.010, 0.170)
O (0.715, 0.490, 0.670)
O (0.734, 0.611, 0.515)
O (0.734, 0.889, 0.015)
O (0.835, 0.018, 0.847)
O (0.835, 0.482, 0.347)
O (0.864, 0.097, 0.598)
O (0.864, 0.403, 0.098)
O (0.908, 0.716, 0.361)
O (0.908, 0.784, 0.861)
O (0.935, 0.678, 0.705)
O (0.935, 0.822, 0.205)



2.
The following is a simulated PXRD pattern of Na2TaSi2SnPO12. It was derived from a structure optimized by DFT (GGA-PBE), using Cu Kα.
Lines closer than 0.1° are merged.

Largest 10 diffraction maxima, by intensity, 10 to 90 degrees two-theta:
19.85 deg, d = 4.472 Å, rel. 100
19.40 deg, d = 4.576 Å, rel. 85
30.94 deg, d = 2.890 Å, rel. 48
34.75 deg, d = 2.582 Å, rel. 39
13.84 deg, d = 6.401 Å, rel. 32
27.86 deg, d = 3.203 Å, rel. 29
34.47 deg, d = 2.602 Å, rel. 26
31.04 deg, d = 2.881 Å, rel. 24
23.11 deg, d = 3.849 Å, rel. 21
54.21 deg, d = 1.692 Å, rel. 18

Crystal structure
a b c (Å): 8.936 8.936 9.168
angles (deg): 119.30 119.30 60.17
Atoms (fractional coordinates):
Na (0.061, 0.939, 0.500)
Na (0.329, 0.814, 0.242)
Na (0.814, 0.329, 0.742)
Na (0.939, 0.061, 0.000)
Ta (0.465, 0.963, 0.686)
Ta (0.963, 0.465, 0.186)
Si (0.066, 0.280, 0.498)
Si (0.280, 0.066, 0.998)
Si (0.776, 0.859, 0.501)
Si (0.859, 0.776, 0.001)
Sn (0.170, 0.669, 0.807)
Sn (0.669, 0.170, 0.307)
P (0.360, 0.565, 0.502)
P (0.565, 0.360, 0.002)
O (0.037, 0.309, 0.320)
O (0.042, 0.755, 0.984)
O (0.091, 0.245, 0.020)
O (0.096, 0.451, 0.672)
O (0.185, 0.543, 0.337)
O (0.245, 0.091, 0.520)
O (0.247, 0.893, 0.983)
O (0.309, 0.037, 0.820)
O (0.337, 0.592, 0.667)
O (0.373, 0.743, 0.518)
O (0.405, 0.534, 0.980)
O (0.451, 0.096, 0.172)
O (0.534, 0.405, 0.480)
O (0.543, 0.185, 0.837)
O (0.592, 0.337, 0.167)
O (0.594, 0.881, 0.521)
O (0.676, 0.821, 0.830)
O (0.743, 0.373, 0.018)
O (0.755, 0.042, 0.484)
O (0.821, 0.676, 0.330)
O (0.843, 0.955, 0.177)
O (0.881, 0.594, 0.021)
O (0.893, 0.247, 0.483)
O (0.955, 0.843, 0.677)



3.
The following is a simulated PXRD pattern of CdBr2N2. It was derived from a structure optimized by DFT (GGA-PBE), using Cu Kα.
Lines closer than 0.1° are merged.

Largest 10 diffraction maxima, by intensity, 10 to 90 degrees two-theta:
18.92 deg, d = 4.692 Å, rel. 100
14.48 deg, d = 6.118 Å, rel. 94
31.88 deg, d = 2.807 Å, rel. 80
37.33 deg, d = 2.409 Å, rel. 70
50.72 deg, d = 1.800 Å, rel. 39
38.37 deg, d = 2.346 Å, rel. 23
27.07 deg, d = 3.294 Å, rel. 23
41.89 deg, d = 2.156 Å, rel. 21
30.66 deg, d = 2.916 Å, rel. 20
50.60 deg, d = 1.804 Å, rel. 15

Crystal structure
a b c (Å): 8.070 9.383 3.908
angles (deg): 90.00 90.00 90.00
Atoms (fractional coordinates):
Cd (0.000, 0.000, 0.000)
Cd (0.500, 0.500, 0.000)
Br (0.233, 0.000, 0.500)
Br (0.267, 0.500, 0.500)
Br (0.733, 0.500, 0.500)
Br (0.767, 0.000, 0.500)
N (0.000, 0.274, 0.000)
N (0.000, 0.726, 0.000)
N (0.500, 0.226, 0.000)
N (0.500, 0.774, 0.000)



4.
The following is a simulated PXRD pattern of Ca3Re2N4. It was derived from a structure optimized by DFT (GGA-PBE), using Cu Kα.
Lines closer than 0.1° are merged.

Largest 10 diffraction maxima, by intensity, 10 to 90 degrees two-theta:
16.55 deg, d = 5.357 Å, rel. 100
30.52 deg, d = 2.929 Å, rel. 43
21.47 deg, d = 4.138 Å, rel. 41
20.37 deg, d = 4.360 Å, rel. 37
33.49 deg, d = 2.676 Å, rel. 36
31.37 deg, d = 2.852 Å, rel. 32
41.50 deg, d = 2.176 Å, rel. 31
35.12 deg, d = 2.556 Å, rel. 26
42.83 deg, d = 2.111 Å, rel. 23
34.42 deg, d = 2.605 Å, rel. 20

Crystal structure
a b c (Å): 7.072 7.072 5.367
angles (deg): 93.61 93.61 81.05
Atoms (fractional coordinates):
Ca (0.066, 0.934, 0.750)
Ca (0.224, 0.564, 0.481)
Ca (0.436, 0.776, 0.019)
Ca (0.564, 0.224, 0.981)
Ca (0.776, 0.436, 0.519)
Ca (0.934, 0.066, 0.250)
Re (0.129, 0.352, 0.937)
Re (0.352, 0.129, 0.437)
Re (0.648, 0.871, 0.563)
Re (0.871, 0.648, 0.063)
N (0.095, 0.246, 0.592)
N (0.152, 0.628, 0.940)
N (0.246, 0.095, 0.092)
N (0.372, 0.848, 0.560)
N (0.628, 0.152, 0.440)
N (0.754, 0.905, 0.908)
N (0.848, 0.372, 0.060)
N (0.905, 0.754, 0.408)



5.
The following is a simulated PXRD pattern of CeSe2. It was derived from a structure optimized by DFT (GGA-PBE), using Cu Kα.
Lines closer than 0.1° are merged.

Largest 10 diffraction maxima, by intensity, 10 to 90 degrees two-theta:
12.47 deg, d = 7.097 Å, rel. 100
16.67 deg, d = 5.318 Å, rel. 83
17.47 deg, d = 5.076 Å, rel. 65
24.44 deg, d = 3.642 Å, rel. 33
21.24 deg, d = 4.183 Å, rel. 26
30.07 deg, d = 2.972 Å, rel. 23
10.18 deg, d = 8.687 Å, rel. 22
34.87 deg, d = 2.573 Å, rel. 20
39.40 deg, d = 2.287 Å, rel. 18
33.66 deg, d = 2.663 Å, rel. 15

Crystal structure
a b c (Å): 11.529 11.529 8.390
angles (deg): 107.87 107.87 71.11
Atoms (fractional coordinates):
Ce (0.037, 0.253, 0.330)
Ce (0.253, 0.037, 0.830)
Ce (0.747, 0.963, 0.170)
Ce (0.963, 0.747, 0.670)
Se (0.000, 0.500, 0.500)
Se (0.109, 0.221, 0.036)
Se (0.181, 0.819, 0.750)
Se (0.221, 0.109, 0.536)
Se (0.500, 0.000, 0.000)
Se (0.779, 0.891, 0.464)
Se (0.819, 0.181, 0.250)
Se (0.891, 0.779, 0.964)



6.
The following is a simulated PXRD pattern of Dy2Al6Si4Pt. It was derived from a structure optimized by DFT (GGA-PBE), using Cu Kα.
Lines closer than 0.1° are merged.

Largest 10 diffraction maxima, by intensity, 10 to 90 degrees two-theta:
27.61 deg, d = 3.231 Å, rel. 100
43.40 deg, d = 2.085 Å, rel. 59
37.80 deg, d = 2.380 Å, rel. 59
15.75 deg, d = 5.626 Å, rel. 57
24.90 deg, d = 3.575 Å, rel. 40
26.20 deg, d = 3.402 Å, rel. 31
35.11 deg, d = 2.556 Å, rel. 27
48.42 deg, d = 1.880 Å, rel. 26
46.44 deg, d = 1.955 Å, rel. 23
58.52 deg, d = 1.577 Å, rel. 18

Crystal structure
a b c (Å): 17.049 17.049 17.049
angles (deg): 14.05 14.05 14.05
Atoms (fractional coordinates):
Dy (0.066, 0.066, 0.066)
Dy (0.934, 0.934, 0.934)
Al (0.183, 0.183, 0.183)
Al (0.315, 0.315, 0.315)
Al (0.450, 0.450, 0.450)
Al (0.550, 0.550, 0.550)
Al (0.685, 0.685, 0.685)
Al (0.817, 0.817, 0.817)
Si (0.234, 0.234, 0.234)
Si (0.365, 0.365, 0.365)
Si (0.635, 0.635, 0.635)
Si (0.766, 0.766, 0.766)
Pt (0.500, 0.500, 0.500)